No. 1
Starting from the GGA-PBE geometry in the Materials Project, the XRD peak list of Ba2HoCu3O6 was computed for Cu Kα (λ = 1.5418 Å).
Peak positions follow from Bragg's law for the DFT cell and can differ from measured ones.

Largest 8 diffraction maxima, low angle first, 2θ = 15–90°:
- 22.91 deg, d 3.881, intensity 13
- 31.97 deg, d 2.800, intensity 100
- 32.63 deg, d 2.744, intensity 59
- 37.65 deg, d 2.389, intensity 22
- 39.70 deg, d 2.270, intensity 14
- 46.82 deg, d 1.940, intensity 31
- 57.81 deg, d 1.595, intensity 37
- 77.86 deg, d 1.227, intensity 15

Structure:
```
data_Ba2HoCu3O6
_chemical_formula_sum 'Ba2 Ho1 Cu3 O6'
_space_group_name_H-M_alt 'P 1'
_space_group_IT_number 1
_space_group_name_Hall 'P 1'
_cell_length_a 3.8810
_cell_length_b 3.8810
_cell_length_c 12.1272
_cell_angle_alpha 90.00
_cell_angle_beta 90.00
_cell_angle_gamma 90.00
loop_
_atom_site_label
_atom_site_type_symbol
_atom_site_fract_x
_atom_site_fract_y
_atom_site_fract_z
Ba1 Ba 0.0000 0.0000 0.1962
Ba2 Ba 0.0000 0.0000 0.8038
Ho1 Ho 0.0000 0.0000 0.5000
Cu1 Cu 0.5000 0.5000 0.0000
Cu2 Cu 0.5000 0.5000 0.3661
Cu3 Cu 0.5000 0.5000 0.6339
O1 O 0.0000 0.5000 0.3808
O2 O 0.0000 0.5000 0.6192
O3 O 0.5000 0.0000 0.3808
O4 O 0.5000 0.0000 0.6192
O5 O 0.5000 0.5000 0.1495
O6 O 0.5000 0.5000 0.8505
```

---

No. 2
Starting from the GGA-PBE geometry in the Materials Project, the XRD peak list of Ba2Ho2CuPtO8 was computed for Cu Kα (λ = 1.5418 Å).
Peak positions follow from Bragg's law for the DFT cell and can differ from measured ones.

Largest 8 diffraction maxima, low angle first, 2θ = 15–90°:
- 26.68 deg, d 3.341, intensity 26
- 30.07 deg, d 2.972, intensity 23
- 30.82 deg, d 2.901, intensity 96
- 30.97 deg, d 2.887, intensity 100
- 31.21 deg, d 2.866, intensity 68
- 32.17 deg, d 2.782, intensity 26
- 45.81 deg, d 1.981, intensity 30
- 55.35 deg, d 1.660, intensity 39

Structure:
```
data_Ba2Ho2CuPtO8
_chemical_formula_sum 'Ba8 Ho8 Cu4 Pt4 O32'
_space_group_name_H-M_alt 'P 1'
_space_group_IT_number 1
_space_group_name_Hall 'P 1'
_cell_length_a 13.3686
_cell_length_b 5.7313
_cell_length_c 10.4284
_cell_angle_alpha 90.00
_cell_angle_beta 90.00
_cell_angle_gamma 90.00
loop_
_atom_site_label
_atom_site_type_symbol
_atom_site_fract_x
_atom_site_fract_y
_atom_site_fract_z
Ba1 Ba 0.0771 0.2500 0.0918
Ba2 Ba 0.2075 0.7500 0.3145
Ba3 Ba 0.2925 0.2500 0.8145
Ba4 Ba 0.4229 0.7500 0.5918
Ba5 Ba 0.5771 0.2500 0.4082
Ba6 Ba 0.7075 0.7500 0.1855
Ba7 Ba 0.7925 0.2500 0.6855
Ba8 Ba 0.9229 0.7500 0.9082
Ho1 Ho 0.0828 0.2500 0.4866
Ho2 Ho 0.1417 0.7500 0.6880
Ho3 Ho 0.3583 0.2500 0.1880
Ho4 Ho 0.4172 0.7500 0.9866
Ho5 Ho 0.5828 0.2500 0.0134
Ho6 Ho 0.6417 0.7500 0.8120
Ho7 Ho 0.8583 0.2500 0.3120
Ho8 Ho 0.9172 0.7500 0.5134
Cu1 Cu 0.0392 0.2500 0.7668
Cu2 Cu 0.4608 0.7500 0.2668
Cu3 Cu 0.5392 0.2500 0.7332
Cu4 Cu 0.9608 0.7500 0.2332
Pt1 Pt 0.1939 0.7500 0.9680
Pt2 Pt 0.3061 0.2500 0.4680
Pt3 Pt 0.6939 0.7500 0.5320
Pt4 Pt 0.8061 0.2500 0.0320
O1 O 0.0082 0.0054 0.6357
O2 O 0.0082 0.4946 0.6357
O3 O 0.0891 0.7500 0.1097
O4 O 0.1138 0.5081 0.8612
O5 O 0.1138 0.9919 0.8612
O6 O 0.2037 0.2500 0.3143
O7 O 0.2157 0.0091 0.5568
O8 O 0.2157 0.4909 0.5568
O9 O 0.2843 0.5091 0.0568
O10 O 0.2843 0.9909 0.0568
O11 O 0.2963 0.7500 0.8143
O12 O 0.3862 0.0081 0.3612
O13 O 0.3862 0.4919 0.3612
O14 O 0.4109 0.2500 0.6097
O15 O 0.4918 0.5054 0.1357
O16 O 0.4918 0.9946 0.1357
O17 O 0.5082 0.0054 0.8643
O18 O 0.5082 0.4946 0.8643
O19 O 0.5891 0.7500 0.3903
O20 O 0.6138 0.5081 0.6388
O21 O 0.6138 0.9919 0.6388
O22 O 0.7037 0.2500 0.1857
O23 O 0.7157 0.0091 0.9432
O24 O 0.7157 0.4909 0.9432
O25 O 0.7843 0.5091 0.4432
O26 O 0.7843 0.9909 0.4432
O27 O 0.7963 0.7500 0.6857
O28 O 0.8862 0.0081 0.1388
O29 O 0.8862 0.4919 0.1388
O30 O 0.9109 0.2500 0.8903
O31 O 0.9918 0.5054 0.3643
O32 O 0.9918 0.9946 0.3643
```

---

No. 3
Starting from the GGA-PBE geometry in the Materials Project, the XRD peak list of Ba4Cu3IO12 was computed for Cu Kα (λ = 1.5418 Å).
Peak positions follow from Bragg's law for the DFT cell and can differ from measured ones.

Largest 8 diffraction maxima, low angle first, 2θ = 15–90°:
- 30.93 deg, d 2.891, intensity 100
- 38.12 deg, d 2.360, intensity 9
- 44.31 deg, d 2.044, intensity 32
- 55.02 deg, d 1.669, intensity 39
- 64.46 deg, d 1.445, intensity 19
- 73.21 deg, d 1.293, intensity 17
- 81.57 deg, d 1.180, intensity 6
- 89.74 deg, d 1.093, intensity 21

Structure:
```
data_Ba4Cu3IO12
_chemical_formula_sum 'Ba4 Cu3 I1 O12'
_space_group_name_H-M_alt 'P 1'
_space_group_IT_number 1
_space_group_name_Hall 'P 1'
_cell_length_a 7.0814
_cell_length_b 7.0814
_cell_length_c 7.0814
_cell_angle_alpha 109.47
_cell_angle_beta 109.47
_cell_angle_gamma 109.47
loop_
_atom_site_label
_atom_site_type_symbol
_atom_site_fract_x
_atom_site_fract_y
_atom_site_fract_z
Ba1 Ba 0.0000 0.0000 0.5000
Ba2 Ba 0.0000 0.5000 0.0000
Ba3 Ba 0.5000 0.0000 0.0000
Ba4 Ba 0.5000 0.5000 0.5000
Cu1 Cu 0.0000 0.5000 0.5000
Cu2 Cu 0.5000 0.0000 0.5000
Cu3 Cu 0.5000 0.5000 0.0000
I1 I 0.0000 0.0000 0.0000
O1 O 0.0000 0.2343 0.2343
O2 O 0.0000 0.7657 0.7657
O3 O 0.2343 0.0000 0.2343
O4 O 0.2343 0.2343 0.0000
O5 O 0.2500 0.5000 0.7500
O6 O 0.2500 0.7500 0.5000
O7 O 0.5000 0.2500 0.7500
O8 O 0.5000 0.7500 0.2500
O9 O 0.7500 0.2500 0.5000
O10 O 0.7500 0.5000 0.2500
O11 O 0.7657 0.0000 0.7657
O12 O 0.7657 0.7657 0.0000
```